For CeURu4, DFT lattice parameters and positions (PBE) gives the computed powder X-ray diffraction pattern in this record (copper Kα).
Lines closer than 0.1° are merged.

Structure:
```
CeURu4
1.0
7.753 0.000 0.000
0.000 3.995 0.000
0.000 0.000 6.961
Ce U Ru
2 2 8
Direct
0.250 0.000 0.148 Ce
0.750 0.000 0.852 Ce
0.250 0.000 0.736 U
0.750 0.000 0.264 U
0.000 0.000 0.500 Ru
0.038 0.500 0.809 Ru
0.250 0.500 0.437 Ru
0.462 0.500 0.809 Ru
0.500 0.000 0.500 Ru
0.538 0.500 0.191 Ru
0.750 0.500 0.563 Ru
0.962 0.500 0.191 Ru
```

Largest 10 diffraction maxima, by angle, 10 to 80 degrees two-theta:
17.1 deg, rel. 19
32.2 deg, rel. 36
34.7 deg, rel. 60
36.1 deg, rel. 35
40.6 deg, rel. 24
41.6 deg, rel. 100
43.7 deg, rel. 26
45.4 deg, rel. 36
46.9 deg, rel. 26
62.5 deg, rel. 18

For Ce2URu2, DFT lattice parameters and positions (PBE) gives the computed powder X-ray diffraction pattern in this record (copper Kα).
Lines closer than 0.1° are merged.

Structure:
```
Ce2URu2
1.0
4.983 -2.953 0.000
4.983 2.953 0.000
-1.081 0.000 7.633
Ce U Ru
4 2 4
Direct
0.023 0.276 0.154 Ce
0.276 0.023 0.654 Ce
0.724 0.977 0.346 Ce
0.977 0.724 0.846 Ce
0.332 0.668 0.250 U
0.668 0.332 0.750 U
0.247 0.508 0.496 Ru
0.492 0.753 0.004 Ru
0.508 0.247 0.996 Ru
0.753 0.492 0.504 Ru
```

Largest 10 diffraction maxima, by angle, 10 to 80 degrees two-theta:
31.6 deg, rel. 59
31.9 deg, rel. 43
32.5 deg, rel. 100
34.7 deg, rel. 83
36.8 deg, rel. 41
38.2 deg, rel. 82
38.4 deg, rel. 79
40.7 deg, rel. 37
64.5 deg, rel. 35
74.8 deg, rel. 31

For Ce3YRu3, DFT lattice parameters and positions (PBE) gives the computed powder X-ray diffraction pattern in this record (copper Kα).
Lines closer than 0.1° are merged.

Structure:
```
Ce3YRu3
1.0
4.432 2.559 5.047
-4.432 2.559 5.047
0.000 -5.118 5.047
Ce Y Ru
6 2 6
Direct
0.134 0.364 0.825 Ce
0.175 0.866 0.636 Ce
0.364 0.825 0.134 Ce
0.636 0.175 0.866 Ce
0.825 0.134 0.364 Ce
0.866 0.636 0.175 Ce
0.329 0.329 0.329 Y
0.671 0.671 0.671 Y
0.053 0.707 0.444 Ru
0.293 0.556 0.947 Ru
0.444 0.053 0.707 Ru
0.556 0.947 0.293 Ru
0.707 0.444 0.053 Ru
0.947 0.293 0.556 Ru
```

Largest 10 diffraction maxima, by angle, 10 to 80 degrees two-theta:
20.0 deg, rel. 64
26.8 deg, rel. 20
31.4 deg, rel. 72
33.1 deg, rel. 46
35.1 deg, rel. 100
35.6 deg, rel. 18
41.2 deg, rel. 96
52.5 deg, rel. 17
55.2 deg, rel. 19
78.9 deg, rel. 16

Copy entry 3 word for word.
For Ce3YRu3, DFT lattice parameters and positions (PBE) gives the computed powder X-ray diffraction pattern in this record (copper Kα).
Lines closer than 0.1° are merged.

Structure:
```
Ce3YRu3
1.0
4.432 2.559 5.047
-4.432 2.559 5.047
0.000 -5.118 5.047
Ce Y Ru
6 2 6
Direct
0.134 0.364 0.825 Ce
0.175 0.866 0.636 Ce
0.364 0.825 0.134 Ce
0.636 0.175 0.866 Ce
0.825 0.134 0.364 Ce
0.866 0.636 0.175 Ce
0.329 0.329 0.329 Y
0.671 0.671 0.671 Y
0.053 0.707 0.444 Ru
0.293 0.556 0.947 Ru
0.444 0.053 0.707 Ru
0.556 0.947 0.293 Ru
0.707 0.444 0.053 Ru
0.947 0.293 0.556 Ru
```

Largest 10 diffraction maxima, by angle, 10 to 80 degrees two-theta:
20.0 deg, rel. 64
26.8 deg, rel. 20
31.4 deg, rel. 72
33.1 deg, rel. 46
35.1 deg, rel. 100
35.6 deg, rel. 18
41.2 deg, rel. 96
52.5 deg, rel. 17
55.2 deg, rel. 19
78.9 deg, rel. 16